Diffraction record for CsGe4Au9. The PXRD pattern is computed, not measured: it uses a cell relaxed with PBE and copper Kα.
No peak broadening, texture or thermal motion is included.

Cell and atoms:
Cell lengths 9.691, 9.691, 12.696 Å; angles 90.00, 90.00, 90.00 degrees
Space group I4/mcm (No. 140)
Inequivalent atoms, fractional coordinates:
1 Cs 0.000 0.000 0.250 [4 per cell]
2 Ge 0.197 0.303 0.122 [16 per cell]
3 Au 0.000 0.500 0.000 [4 per cell]
4 Au 0.005 0.206 0.500 [16 per cell]
5 Au 0.124 0.376 0.315 [16 per cell]

The 6 most intense peaks (2θ = 10–90°), by intensity:
2θ/deg	d_spacing	I/Imax
39.79	2.266	100
32.44	2.760	93
39.45	2.284	35
29.63	3.015	34
41.20	2.191	34
29.50	3.028	29